For CoCuSn2N2, a crystal structure in OQMD, relaxed with GGA-PBE gives the computed powder X-ray diffraction pattern in this record (Cu Kα (weighted mean of Kα1 and Kα2)).

Largest 10 diffraction maxima, in order of rising 2θ, 10 to 80 degrees two-theta:
| Position (°2θ) | d (Å) | Rel. int. |
| --- | --- | --- |
| 34.78 | 2.579 | 1000 |
| 35.00 | 2.564 | 847 |
| 35.99 | 2.495 | 912 |
| 43.55 | 2.078 | 148 |
| 48.49 | 1.877 | 220 |
| 51.50 | 1.774 | 182 |
| 52.14 | 1.754 | 177 |
| 61.85 | 1.500 | 374 |
| 63.79 | 1.459 | 304 |
| 64.21 | 1.451 | 334 |

Cell and atoms:
Lattice parameters (Å, degrees): 3.5087 3.7548 7.0978 90.00 90.00 90.00
Sites, in units of the cell vectors:
Co (0.0000, 0.0000, 0.0000)
Cu (0.0000, 0.0000, 0.5000)
Sn (0.5000, 0.5000, 0.2466)
Sn (0.5000, 0.5000, 0.7534)
N (0.0000, 0.5000, 0.5000)
N (0.5000, 0.0000, 0.0000)

---

For Ta4CoCuN2, a crystal structure in OQMD, relaxed with GGA-PBE gives the computed powder X-ray diffraction pattern in this record (Cu Kα (weighted mean of Kα1 and Kα2)).

Largest 10 diffraction maxima, in order of rising 2θ, 10 to 80 degrees two-theta:
| Position (°2θ) | d (Å) | Rel. int. |
| --- | --- | --- |
| 13.61 | 6.507 | 112 |
| 27.41 | 3.253 | 109 |
| 33.65 | 2.664 | 240 |
| 34.37 | 2.609 | 162 |
| 39.71 | 2.270 | 1000 |
| 41.64 | 2.169 | 157 |
| 54.56 | 1.682 | 129 |
| 60.17 | 1.538 | 216 |
| 74.53 | 1.273 | 156 |
| 75.83 | 1.255 | 163 |

Cell and atoms:
Lattice parameters (Å, degrees): 3.0758 3.0758 13.0137 90.00 90.00 120.00
Sites, in units of the cell vectors:
Ta (0.0000, 0.0000, 0.1505)
Ta (0.0000, 0.0000, 0.8495)
Ta (0.6667, 0.3333, 0.3406)
Ta (0.6667, 0.3333, 0.6594)
Co (0.6667, 0.3333, 0.0000)
Cu (0.0000, 0.0000, 0.5000)
N (0.3333, 0.6667, 0.2464)
N (0.3333, 0.6667, 0.7536)

---

For Tm2CoCuN2, a crystal structure in OQMD, relaxed with GGA-PBE gives the computed powder X-ray diffraction pattern in this record (Cu Kα (weighted mean of Kα1 and Kα2)).

Largest 10 diffraction maxima, in order of rising 2θ, 10 to 80 degrees two-theta:
| Position (°2θ) | d (Å) | Rel. int. |
| --- | --- | --- |
| 23.96 | 3.714 | 282 |
| 25.45 | 3.500 | 244 |
| 35.24 | 2.547 | 1000 |
| 36.89 | 2.436 | 993 |
| 37.92 | 2.373 | 921 |
| 45.36 | 2.000 | 272 |
| 49.06 | 1.857 | 241 |
| 63.63 | 1.462 | 395 |
| 65.69 | 1.421 | 358 |
| 68.87 | 1.363 | 284 |

Cell and atoms:
Lattice parameters (Å, degrees): 3.5000 3.7137 6.4559 90.00 90.00 90.00
Sites, in units of the cell vectors:
Tm (0.0000, 0.0000, 0.2479)
Tm (0.0000, 0.0000, 0.7521)
Co (0.5000, 0.5000, 0.0000)
Cu (0.5000, 0.5000, 0.5000)
N (0.0000, 0.5000, 0.0000)
N (0.5000, 0.0000, 0.5000)

---

For CoCuNiS3, a crystal structure in OQMD, relaxed with GGA-PBE gives the computed powder X-ray diffraction pattern in this record (Cu Kα (weighted mean of Kα1 and Kα2)).

Largest 10 diffraction maxima, in order of rising 2θ, 10 to 80 degrees two-theta:
| Position (°2θ) | d (Å) | Rel. int. |
| --- | --- | --- |
| 15.37 | 5.766 | 1000 |
| 30.77 | 2.905 | 135 |
| 37.54 | 2.396 | 93 |
| 38.65 | 2.330 | 175 |
| 40.27 | 2.239 | 210 |
| 41.27 | 2.188 | 89 |
| 44.80 | 2.023 | 103 |
| 48.61 | 1.873 | 125 |
| 49.76 | 1.832 | 163 |
| 54.56 | 1.682 | 94 |

Cell and atoms:
Lattice parameters (Å, degrees): 6.5669 3.3637 9.1541 90.00 100.44 90.00
Sites, in units of the cell vectors:
Co (0.2184, 0.2500, 0.2027)
Co (0.7816, 0.7500, 0.7973)
Cu (0.3911, 0.7500, 0.4199)
Cu (0.6089, 0.2500, 0.5801)
Ni (0.0719, 0.2500, 0.9201)
Ni (0.9281, 0.7500, 0.0799)
S (0.0571, 0.7500, 0.3140)
S (0.2661, 0.7500, 0.0348)
S (0.4489, 0.7500, 0.6835)
S (0.5511, 0.2500, 0.3165)
S (0.7339, 0.2500, 0.9652)
S (0.9429, 0.2500, 0.6860)

---

For TlCoCuOs, a crystal structure in OQMD, relaxed with GGA-PBE gives the computed powder X-ray diffraction pattern in this record (Cu Kα (weighted mean of Kα1 and Kα2)).

Largest 7 diffraction maxima, in order of rising 2θ, 10 to 80 degrees two-theta:
| Position (°2θ) | d (Å) | Rel. int. |
| --- | --- | --- |
| 24.72 | 3.602 | 295 |
| 40.92 | 2.206 | 1000 |
| 48.39 | 1.881 | 156 |
| 59.25 | 1.560 | 167 |
| 65.19 | 1.431 | 68 |
| 74.52 | 1.273 | 337 |
| 79.90 | 1.201 | 53 |

Cell and atoms:
Lattice parameters (Å, degrees): 6.2383 6.2383 6.2383 90.00 90.00 90.00
Sites, in units of the cell vectors:
Tl (0.0000, 0.0000, 0.0000)
Tl (0.0000, 0.5000, 0.5000)
Tl (0.5000, 0.0000, 0.5000)
Tl (0.5000, 0.5000, 0.0000)
Co (0.0000, 0.0000, 0.5000)
Co (0.0000, 0.5000, 0.0000)
Co (0.5000, 0.0000, 0.0000)
Co (0.5000, 0.5000, 0.5000)
Cu (0.2500, 0.2500, 0.2500)
Cu (0.2500, 0.7500, 0.7500)
Cu (0.7500, 0.2500, 0.7500)
Cu (0.7500, 0.7500, 0.2500)
Os (0.2500, 0.2500, 0.7500)
Os (0.2500, 0.7500, 0.2500)
Os (0.7500, 0.2500, 0.2500)
Os (0.7500, 0.7500, 0.7500)

---

For Sr2CoCuP2, a crystal structure in OQMD, relaxed with GGA-PBE gives the computed powder X-ray diffraction pattern in this record (Cu Kα (weighted mean of Kα1 and Kα2)).

Largest 10 diffraction maxima, in order of rising 2θ, 10 to 80 degrees two-theta:
| Position (°2θ) | d (Å) | Rel. int. |
| --- | --- | --- |
| 25.88 | 3.442 | 77 |
| 27.81 | 3.208 | 76 |
| 32.97 | 2.717 | 1000 |
| 40.27 | 2.239 | 30 |
| 40.80 | 2.211 | 166 |
| 45.65 | 1.987 | 357 |
| 57.45 | 1.604 | 193 |
| 62.87 | 1.478 | 263 |
| 69.34 | 1.355 | 107 |
| 76.28 | 1.248 | 166 |

Cell and atoms:
Lattice parameters (Å, degrees): 3.9749 3.9749 8.8458 90.00 90.00 120.00
Sites, in units of the cell vectors:
Sr (0.0000, 0.0000, 0.2457)
Sr (0.0000, 0.0000, 0.7543)
Co (0.6667, 0.3333, 0.0000)
Cu (0.3333, 0.6667, 0.5000)
P (0.3333, 0.6667, 0.0000)
P (0.6667, 0.3333, 0.5000)

---

For CoCuPb2, a crystal structure in OQMD, relaxed with GGA-PBE gives the computed powder X-ray diffraction pattern in this record (Cu Kα (weighted mean of Kα1 and Kα2)).

Largest 8 diffraction maxima, in order of rising 2θ, 10 to 80 degrees two-theta:
| Position (°2θ) | d (Å) | Rel. int. |
| --- | --- | --- |
| 22.30 | 3.986 | 299 |
| 36.82 | 2.441 | 1000 |
| 43.47 | 2.082 | 171 |
| 53.05 | 1.726 | 175 |
| 58.25 | 1.584 | 76 |
| 66.32 | 1.409 | 358 |
| 70.93 | 1.329 | 60 |
| 78.34 | 1.221 | 113 |

Cell and atoms:
Lattice parameters (Å, degrees): 6.9044 6.9044 6.9044 90.00 90.00 90.00
Sites, in units of the cell vectors:
Co (0.0000, 0.0000, 0.0000)
Co (0.0000, 0.5000, 0.5000)
Co (0.5000, 0.0000, 0.5000)
Co (0.5000, 0.5000, 0.0000)
Cu (0.2500, 0.2500, 0.2500)
Cu (0.2500, 0.7500, 0.7500)
Cu (0.7500, 0.2500, 0.7500)
Cu (0.7500, 0.7500, 0.2500)
Pb (0.0000, 0.0000, 0.5000)
Pb (0.0000, 0.5000, 0.0000)
Pb (0.2500, 0.2500, 0.7500)
Pb (0.2500, 0.7500, 0.2500)
Pb (0.5000, 0.0000, 0.0000)
Pb (0.5000, 0.5000, 0.5000)
Pb (0.7500, 0.2500, 0.2500)
Pb (0.7500, 0.7500, 0.7500)

---

For ZnCoCuPd, a crystal structure in OQMD, relaxed with GGA-PBE gives the computed powder X-ray diffraction pattern in this record (Cu Kα (weighted mean of Kα1 and Kα2)).

Largest 9 diffraction maxima, in order of rising 2θ, 10 to 80 degrees two-theta:
| Position (°2θ) | d (Å) | Rel. int. |
| --- | --- | --- |
| 25.96 | 3.432 | 44 |
| 30.07 | 2.972 | 27 |
| 43.04 | 2.102 | 1000 |
| 50.95 | 1.792 | 22 |
| 53.39 | 1.716 | 7 |
| 62.50 | 1.486 | 155 |
| 68.85 | 1.364 | 9 |
| 70.90 | 1.329 | 10 |
| 78.89 | 1.213 | 305 |

Cell and atoms:
Lattice parameters (Å, degrees): 5.9444 5.9444 5.9444 90.00 90.00 90.00
Sites, in units of the cell vectors:
Zn (0.0000, 0.0000, 0.0000)
Zn (0.0000, 0.5000, 0.5000)
Zn (0.5000, 0.0000, 0.5000)
Zn (0.5000, 0.5000, 0.0000)
Co (0.0000, 0.0000, 0.5000)
Co (0.0000, 0.5000, 0.0000)
Co (0.5000, 0.0000, 0.0000)
Co (0.5000, 0.5000, 0.5000)
Cu (0.2500, 0.2500, 0.2500)
Cu (0.2500, 0.7500, 0.7500)
Cu (0.7500, 0.2500, 0.7500)
Cu (0.7500, 0.7500, 0.2500)
Pd (0.2500, 0.2500, 0.7500)
Pd (0.2500, 0.7500, 0.2500)
Pd (0.7500, 0.2500, 0.2500)
Pd (0.7500, 0.7500, 0.7500)

---

For Pr2CoCuSb4, a crystal structure in OQMD, relaxed with GGA-PBE gives the computed powder X-ray diffraction pattern in this record (Cu Kα (weighted mean of Kα1 and Kα2)).

Largest 10 diffraction maxima, in order of rising 2θ, 10 to 80 degrees two-theta:
| Position (°2θ) | d (Å) | Rel. int. |
| --- | --- | --- |
| 26.94 | 3.310 | 217 |
| 29.94 | 2.985 | 165 |
| 33.83 | 2.650 | 1000 |
| 40.78 | 2.213 | 370 |
| 49.55 | 1.840 | 113 |
| 50.29 | 1.814 | 126 |
| 53.96 | 1.699 | 132 |
| 59.04 | 1.565 | 122 |
| 66.67 | 1.403 | 107 |
| 69.81 | 1.347 | 205 |

Cell and atoms:
Lattice parameters (Å, degrees): 4.4253 4.4253 9.9453 90.00 90.00 90.00
Sites, in units of the cell vectors:
Pr (0.0000, 0.5000, 0.2432)
Pr (0.5000, 0.0000, 0.7568)
Co (0.5000, 0.5000, 0.0000)
Cu (0.0000, 0.0000, 0.0000)
Sb (0.0000, 0.0000, 0.5000)
Sb (0.0000, 0.5000, 0.8617)
Sb (0.5000, 0.0000, 0.1383)
Sb (0.5000, 0.5000, 0.5000)

---

For Pr2CoCuSn4, a crystal structure in OQMD, relaxed with GGA-PBE gives the computed powder X-ray diffraction pattern in this record (Cu Kα (weighted mean of Kα1 and Kα2)).

Largest 10 diffraction maxima, in order of rising 2θ, 10 to 80 degrees two-theta:
| Position (°2θ) | d (Å) | Rel. int. |
| --- | --- | --- |
| 31.38 | 2.851 | 210 |
| 31.50 | 2.840 | 1000 |
| 35.07 | 2.559 | 243 |
| 39.34 | 2.290 | 269 |
| 40.37 | 2.234 | 250 |
| 48.74 | 1.868 | 109 |
| 54.52 | 1.683 | 137 |
| 57.63 | 1.599 | 177 |
| 66.45 | 1.407 | 122 |
| 67.88 | 1.381 | 137 |

Cell and atoms:
Lattice parameters (Å, degrees): 4.5810 4.4687 18.5114 90.00 90.00 90.00
Sites, in units of the cell vectors:
Pr (0.0000, 0.0000, 0.0000)
Pr (0.0000, 0.5000, 0.5000)
Pr (0.5000, 0.0000, 0.2190)
Pr (0.5000, 0.5000, 0.7190)
Co (0.5000, 0.0000, 0.4219)
Co (0.5000, 0.5000, 0.9219)
Cu (0.0000, 0.0000, 0.7812)
Cu (0.0000, 0.5000, 0.2812)
Sn (0.0000, 0.0000, 0.3610)
Sn (0.0000, 0.0000, 0.6466)
Sn (0.0000, 0.5000, 0.1466)
Sn (0.0000, 0.5000, 0.8610)
Sn (0.5000, 0.0000, 0.5548)
Sn (0.5000, 0.0000, 0.8580)
Sn (0.5000, 0.5000, 0.0548)
Sn (0.5000, 0.5000, 0.3580)

---

For RbCoCuSe2S, a crystal structure in OQMD, relaxed with GGA-PBE gives the computed powder X-ray diffraction pattern in this record (Cu Kα (weighted mean of Kα1 and Kα2)).

Largest 10 diffraction maxima, in order of rising 2θ, 10 to 80 degrees two-theta:
| Position (°2θ) | d (Å) | Rel. int. |
| --- | --- | --- |
| 11.71 | 7.558 | 892 |
| 21.89 | 4.060 | 337 |
| 30.06 | 2.972 | 715 |
| 31.85 | 2.809 | 1000 |
| 35.81 | 2.507 | 530 |
| 37.37 | 2.407 | 605 |
| 43.31 | 2.089 | 760 |
| 50.49 | 1.807 | 318 |
| 57.21 | 1.610 | 403 |
| 57.40 | 1.605 | 373 |

Cell and atoms:
Lattice parameters (Å, degrees): 7.7716 7.7716 9.6267 90.00 90.00 153.10
Sites, in units of the cell vectors:
Rb (0.2484, 0.7516, 0.7500)
Rb (0.7516, 0.2484, 0.2500)
Co (0.5000, 0.5000, 0.0000)
Co (0.5000, 0.5000, 0.5000)
Cu (0.0336, 0.9664, 0.2500)
Cu (0.9664, 0.0336, 0.7500)
Se (0.1056, 0.8944, 0.0323)
Se (0.1056, 0.8944, 0.4677)
Se (0.8944, 0.1056, 0.5323)
Se (0.8944, 0.1056, 0.9677)
S (0.4447, 0.5553, 0.2500)
S (0.5553, 0.4447, 0.7500)

---

For CoCuRe6, a crystal structure in OQMD, relaxed with GGA-PBE gives the computed powder X-ray diffraction pattern in this record (Cu Kα (weighted mean of Kα1 and Kα2)).

Largest 10 diffraction maxima, in order of rising 2θ, 10 to 80 degrees two-theta:
| Position (°2θ) | d (Å) | Rel. int. |
| --- | --- | --- |
| 18.93 | 4.687 | 56 |
| 27.96 | 3.191 | 116 |
| 33.10 | 2.706 | 52 |
| 38.41 | 2.344 | 242 |
| 41.44 | 2.179 | 261 |
| 43.86 | 2.064 | 1000 |
| 56.04 | 1.641 | 41 |
| 57.78 | 1.596 | 148 |
| 69.47 | 1.353 | 170 |
| 77.28 | 1.235 | 190 |

Cell and atoms:
Lattice parameters (Å, degrees): 5.4123 5.4123 4.3576 90.00 90.00 120.00
Sites, in units of the cell vectors:
Co (0.0000, 0.0000, 0.0000)
Cu (0.3333, 0.6667, 0.5000)
Re (0.3355, 0.1678, 0.5000)
Re (0.5004, 0.0009, 0.0000)
Re (0.5004, 0.4996, 0.0000)
Re (0.8322, 0.1678, 0.5000)
Re (0.8322, 0.6645, 0.5000)
Re (0.9991, 0.4996, 0.0000)

---

For Co2CuS6, a crystal structure in OQMD, relaxed with GGA-PBE gives the computed powder X-ray diffraction pattern in this record (Cu Kα (weighted mean of Kα1 and Kα2)).

Largest 10 diffraction maxima, in order of rising 2θ, 10 to 80 degrees two-theta:
| Position (°2θ) | d (Å) | Rel. int. |
| --- | --- | --- |
| 27.74 | 3.216 | 364 |
| 32.14 | 2.785 | 1000 |
| 36.04 | 2.492 | 323 |
| 39.61 | 2.275 | 274 |
| 46.07 | 1.970 | 431 |
| 46.16 | 1.967 | 86 |
| 54.60 | 1.681 | 464 |
| 54.68 | 1.678 | 449 |
| 57.33 | 1.607 | 127 |
| 62.38 | 1.489 | 106 |

Cell and atoms:
Lattice parameters (Å, degrees): 5.5666 5.5694 16.7283 89.89 89.95 89.89
Sites, in units of the cell vectors:
Co (0.0000, 0.0000, 0.0000)
Co (0.0005, 0.5017, 0.1648)
Co (0.0028, 0.5014, 0.8363)
Co (0.0071, 0.9990, 0.6700)
Co (0.4987, 0.5005, 0.3344)
Co (0.5014, 0.5020, 0.0014)
Co (0.5045, 0.0018, 0.5051)
Co (0.5066, 0.5069, 0.6697)
Cu (0.0010, 0.0018, 0.3356)
Cu (0.0021, 0.5009, 0.5018)
Cu (0.4997, 0.0015, 0.1691)
Cu (0.5038, 0.0038, 0.8342)
S (0.0984, 0.1190, 0.8738)
S (0.0995, 0.1210, 0.1990)
S (0.1142, 0.0986, 0.5423)
S (0.1140, 0.3902, 0.7072)
S (0.1153, 0.3899, 0.0385)
S (0.1218, 0.4042, 0.3676)
S (0.3837, 0.8854, 0.0328)
S (0.3854, 0.8876, 0.7017)
S (0.3856, 0.5977, 0.8740)
S (0.3869, 0.6014, 0.2069)
S (0.4038, 0.8870, 0.3756)
S (0.4061, 0.6175, 0.5418)
S (0.5974, 0.3848, 0.4639)
S (0.6007, 0.1205, 0.3028)
S (0.6129, 0.1152, 0.6324)
S (0.6171, 0.1171, 0.9694)
S (0.6171, 0.4060, 0.7965)
S (0.6193, 0.4085, 0.1290)
S (0.8816, 0.9022, 0.4706)
S (0.8880, 0.6004, 0.2944)
S (0.8880, 0.6159, 0.9630)
S (0.8881, 0.6171, 0.6377)
S (0.9029, 0.8886, 0.1275)
S (0.9059, 0.8874, 0.7974)

---

For Co2CuS4, a crystal structure in OQMD, relaxed with GGA-PBE gives the computed powder X-ray diffraction pattern in this record (Cu Kα (weighted mean of Kα1 and Kα2)).

Largest 10 diffraction maxima, in order of rising 2θ, 10 to 80 degrees two-theta:
| Position (°2θ) | d (Å) | Rel. int. |
| --- | --- | --- |
| 16.29 | 5.442 | 178 |
| 26.80 | 3.327 | 264 |
| 31.39 | 2.850 | 1000 |
| 31.65 | 2.827 | 518 |
| 38.04 | 2.365 | 499 |
| 38.48 | 2.339 | 244 |
| 50.12 | 1.820 | 345 |
| 50.65 | 1.802 | 160 |
| 54.90 | 1.672 | 410 |
| 55.23 | 1.663 | 811 |

Cell and atoms:
Lattice parameters (Å, degrees): 6.6900 6.6900 9.3574 90.00 90.00 90.00
Sites, in units of the cell vectors:
Co (0.0000, 0.2506, 0.0000)
Co (0.0000, 0.7494, 0.5000)
Co (0.2458, 0.2458, 0.3750)
Co (0.2458, 0.7542, 0.1250)
Co (0.2506, 0.0000, 0.7500)
Co (0.7494, 0.0000, 0.2500)
Co (0.7542, 0.2458, 0.6250)
Co (0.7542, 0.7542, 0.8750)
Cu (0.2527, 0.5000, 0.7500)
Cu (0.5000, 0.2527, 0.0000)
Cu (0.5000, 0.7473, 0.5000)
Cu (0.7473, 0.5000, 0.2500)
S (0.0138, 0.2396, 0.7586)
S (0.0138, 0.7604, 0.7414)
S (0.2380, 0.4906, 0.0007)
S (0.2380, 0.5094, 0.4993)
S (0.2396, 0.0138, 0.9914)
S (0.2396, 0.9862, 0.5086)
S (0.4906, 0.2380, 0.7493)
S (0.4906, 0.7620, 0.7507)
S (0.5094, 0.2380, 0.2507)
S (0.5094, 0.7620, 0.2493)
S (0.7604, 0.0138, 0.0086)
S (0.7604, 0.9862, 0.4914)
S (0.7620, 0.4906, 0.9993)
S (0.7620, 0.5094, 0.5007)
S (0.9862, 0.2396, 0.2414)
S (0.9862, 0.7604, 0.2586)